This entry pairs a crystal structure of Ag2S5 with its simulated X-ray diffraction stick pattern. Radiation: λ = 1.5418 Å (Cu Kα). Structure: a DFT-relaxed cell (PBE, OQMD).
No peak broadening, texture or thermal motion is included.

abc: 9.6290 8.0941 7.0077
angles: 78.87 55.57 45.57
Fractional positions:
Ag: 0.0842 0.6658 0.0842
Ag: 0.3342 0.9158 0.3342
Ag: 0.6658 0.0842 0.6658
Ag: 0.9158 0.3342 0.9158
S: 0.1785 0.7285 0.3671
S: 0.2259 0.3671 0.7285
S: 0.2715 0.8215 0.7741
S: 0.3671 0.2259 0.1785
S: 0.3750 0.3750 0.3750
S: 0.6250 0.6250 0.6250
S: 0.6329 0.7741 0.8215
S: 0.7285 0.1785 0.2259
S: 0.7741 0.6329 0.2715
S: 0.8215 0.2715 0.6329

The 10 most intense peaks (2θ from 5° to 70°), in order of falling intensity:
d_spacing, I/Imax
3.403, 100
2.288, 93
4.739, 83
3.020, 68
3.693, 51
2.257, 46
2.917, 44
1.975, 44
2.159, 36
1.808, 27